DyAl6Cu: theoretical X-ray powder pattern (Cu Kα X-rays), based on a DFT-relaxed cell (PBE, OQMD).

The 10 most intense peaks (2θ from 10° to 90°), sorted by position:
17.03 deg, intensity 42, hkl 1 0 0; 25.99 deg, intensity 73, hkl 1 0 1; 29.71 deg, intensity 30, hkl 1 1 0; 34.44 deg, intensity 29, hkl 2 0 0; 39.58 deg, intensity 23, hkl 0 0 2; 39.88 deg, intensity 100, hkl 2 0 1; 50.52 deg, intensity 19, hkl 2 1 1; 61.70 deg, intensity 17, hkl 2 2 0; 72.02 deg, intensity 17, hkl 2 0 3; 75.83 deg, intensity 19, hkl 2 2 2

Crystal structure
abc: 6.0133 6.0133 4.5534
angles: 90.00 90.00 120.00
Sites, in units of the cell vectors:
Dy  0.0000  0.0000  0.0000
Al  0.0092  0.5046  0.0000
Al  0.3624  0.1812  0.5000
Al  0.4954  0.5046  0.0000
Al  0.4954  0.9908  0.0000
Al  0.8188  0.1812  0.5000
Al  0.8188  0.6376  0.5000
Cu  0.3333  0.6667  0.5000